The following is a theoretical powder diffractogram of CsCu3GeS4. It was derived from a structure optimized by DFT (PBE), using Cu Kα, 1.54184 Å.

Principal peaks in the range 10 to 80 degrees two-theta, low angle first:
2θ = 20.25°, intensity 68, (1 1 -1); 2θ = 21.74°, intensity 93, (0 1 2); 2θ = 25.31°, intensity 84, (0 2 1); 2θ = 27.45°, intensity 90, (1 0 2); 2θ = 28.89°, intensity 62, (1 2 -1); 2θ = 29.96°, intensity 100, (0 1 3); 2θ = 34.85°, intensity 59, (2 1 0); 2θ = 43.69°, intensity 66, (2 2 1); 2θ = 48.26°, intensity 61, (0 4 0); 2θ = 49.69°, intensity 72, (2 2 -4)

Cell and atoms:
```
data_CsCu3GeS4
_chemical_formula_sum 'Cs2 Cu6 Ge2 S8'
_cell_length_a 5.6596
_cell_length_b 7.5473
_cell_length_c 10.0524
_cell_angle_alpha 90.00
_cell_angle_beta 104.58
_cell_angle_gamma 90.00
_symmetry_space_group_name_H-M 'P 1 21/m 1'
_symmetry_Int_Tables_number 11
loop_
_symmetry_equiv_pos_as_xyz
'x,y,z'
'-x,-y,-z'
'-x,y+1/2,-z'
'x,-y+1/2,z'
loop_
_atom_site_label
_atom_site_type_symbol
_atom_site_fract_x
_atom_site_fract_y
_atom_site_fract_z
Cs1 Cs 0.2069 0.2500 0.3668
Cu1 Cu 0.2919 0.5661 0.0215
Cu2 Cu 0.4127 0.7500 0.2448
Ge1 Ge 0.1335 0.2500 0.7904
S1 S 0.0382 0.2500 0.9992
S2 S 0.1761 0.7500 0.3929
S3 S 0.3672 0.5007 0.8001
```

The following is a theoretical powder diffractogram of CsCuGeTe2S. It was derived from a structure optimized by DFT (PBE), using Cu Kα, 1.54184 Å.

Principal peaks in the range 10 to 80 degrees two-theta, low angle first:
2θ = 23.88°, intensity 37, (1 1 0); 2θ = 26.34°, intensity 64, (0 2 3); 2θ = 26.62°, intensity 79, (0 4 2); 2θ = 28.27°, intensity 66, (1 3 0); 2θ = 29.42°, intensity 88, (1 3 1); 2θ = 32.28°, intensity 48, (0 0 4); 2θ = 34.16°, intensity 65, (1 1 3); 2θ = 39.22°, intensity 100, (1 5 2); 2θ = 47.60°, intensity 40, (2 0 0); 2θ = 50.27°, intensity 47, (1 3 5)

Cell and atoms:
```
data_CsCuGeTe2S
_chemical_formula_sum 'Cs4 Cu4 Ge4 Te8 S4'
_cell_length_a 3.8220
_cell_length_b 16.8032
_cell_length_c 11.0919
_cell_angle_alpha 90.00
_cell_angle_beta 90.00
_cell_angle_gamma 90.00
_symmetry_space_group_name_H-M 'C m c m'
_symmetry_Int_Tables_number 63
_symmetry_space_group_name_Hall '-C 2c 2'
loop_
_atom_site_label
_atom_site_type_symbol
_atom_site_fract_x
_atom_site_fract_y
_atom_site_fract_z
Cs1 Cs 0.0000 0.2187 0.2500
Cu1 Cu 0.0000 0.0335 0.7500
Ge1 Ge 0.0000 0.5000 0.0000
Te1 Te 0.0000 0.1195 0.5523
S1 S 0.0000 0.4595 0.7500
```

The following is a theoretical powder diffractogram of CsHfCu3S4. It was derived from a structure optimized by DFT (PBE), using Cu Kα, 1.54184 Å.

Principal peaks in the range 10 to 80 degrees two-theta, low angle first:
2θ = 14.83°, intensity 100, (0 1 1); 2θ = 19.94°, intensity 50, (1 1 0); 2θ = 21.76°, intensity 72, (0 1 2); 2θ = 28.61°, intensity 49, (1 2 0); 2θ = 29.92°, intensity 43, (0 2 2); 2θ = 30.07°, intensity 54, (0 1 3); 2θ = 34.70°, intensity 45, (2 1 0); 2θ = 34.96°, intensity 45, (2 1 -2); 2θ = 43.65°, intensity 56, (2 2 1); 2θ = 49.17°, intensity 62, (2 2 -4)

Cell and atoms:
```
data_CsHfCu3S4
_chemical_formula_sum 'Cs2 Hf2 Cu6 S8'
_cell_length_a 5.7102
_cell_length_b 7.5841
_cell_length_c 10.0625
_cell_angle_alpha 90.00
_cell_angle_beta 105.60
_cell_angle_gamma 90.00
_symmetry_space_group_name_H-M 'P 1 21/m 1'
_symmetry_Int_Tables_number 11
loop_
_symmetry_equiv_pos_as_xyz
'x,y,z'
'-x,-y,-z'
'-x,y+1/2,-z'
'x,-y+1/2,z'
loop_
_atom_site_label
_atom_site_type_symbol
_atom_site_fract_x
_atom_site_fract_y
_atom_site_fract_z
Cs1 Cs 0.2016 0.2500 0.3770
Hf1 Hf 0.1444 0.2500 0.7915
Cu1 Cu 0.2749 0.5150 0.0050
Cu2 Cu 0.3581 0.7500 0.2092
S1 S 0.0166 0.2500 0.0037
S2 S 0.2045 0.7500 0.3985
S3 S 0.3978 0.5062 0.7971
```

The following is a theoretical powder diffractogram of Cs2HfCu2Se4. It was derived from a structure optimized by DFT (PBE), using Cu Kα, 1.54184 Å.

Principal peaks in the range 10 to 80 degrees two-theta, low angle first:
2θ = 12.05°, intensity 16, (0 2 0); 2θ = 15.97°, intensity 17, (1 1 0); 2θ = 19.11°, intensity 12, (0 2 1); 2θ = 24.24°, intensity 13, (0 4 0); 2θ = 27.84°, intensity 100, (1 3 1); 2θ = 32.26°, intensity 42, (2 2 0); 2θ = 42.66°, intensity 38, (2 0 2); 2θ = 47.99°, intensity 50, (2 6 0); 2θ = 49.67°, intensity 12, (0 8 0); 2θ = 51.71°, intensity 35, (3 3 1)

Cell and atoms:
```
data_Cs2HfCu2Se4
_chemical_formula_sum 'Cs4 Hf2 Cu4 Se8'
_cell_length_a 5.9929
_cell_length_b 14.6864
_cell_length_c 5.9962
_cell_angle_alpha 90.00
_cell_angle_beta 90.00
_cell_angle_gamma 90.00
_symmetry_space_group_name_H-M 'C 2 2 2'
_symmetry_Int_Tables_number 21
loop_
_symmetry_equiv_pos_as_xyz
'x,y,z'
'-x,-y,z'
'x,-y,-z'
'-x,y,-z'
'x+1/2,y+1/2,z'
'-x+1/2,-y+1/2,z'
'x+1/2,-y+1/2,-z'
'-x+1/2,y+1/2,-z'
loop_
_atom_site_label
_atom_site_type_symbol
_atom_site_fract_x
_atom_site_fract_y
_atom_site_fract_z
Cs1 Cs 0.2500 0.2500 0.2468
Hf1 Hf 0.0000 0.0000 0.5000
Cu1 Cu 0.0000 0.0000 0.0000
Cu2 Cu 0.0000 0.5000 0.5000
Se1 Se 0.2493 0.0942 0.7491
```

The following is a theoretical powder diffractogram of CsHfCuTeSe2. It was derived from a structure optimized by DFT (PBE), using Cu Kα, 1.54184 Å.

Principal peaks in the range 10 to 80 degrees two-theta, low angle first:
2θ = 10.68°, intensity 77, (1 0 -1); 2θ = 25.65°, intensity 18, (1 0 2); 2θ = 29.27°, intensity 100, (2 1 -1); 2θ = 30.75°, intensity 23, (2 1 0); 2θ = 34.28°, intensity 20, (1 1 -3); 2θ = 35.00°, intensity 24, (1 0 3); 2θ = 35.30°, intensity 19, (1 0 -4); 2θ = 41.75°, intensity 29, (2 1 -4); 2θ = 44.94°, intensity 29, (0 2 0); 2θ = 50.87°, intensity 20, (3 1 -5)

Cell and atoms:
```
data_CsHfCuTeSe2
_chemical_formula_sum 'Cs2 Hf2 Cu2 Te2 Se4'
_cell_length_a 9.3302
_cell_length_b 4.0333
_cell_length_c 10.3371
_cell_angle_alpha 90.00
_cell_angle_beta 115.92
_cell_angle_gamma 90.00
_symmetry_space_group_name_H-M 'P 1 21/m 1'
_symmetry_Int_Tables_number 11
loop_
_symmetry_equiv_pos_as_xyz
'x,y,z'
'-x,-y,-z'
'-x,y+1/2,-z'
'x,-y+1/2,z'
loop_
_atom_site_label
_atom_site_type_symbol
_atom_site_fract_x
_atom_site_fract_y
_atom_site_fract_z
Cs1 Cs 0.2271 0.2500 0.2097
Hf1 Hf 0.1862 0.7500 0.6637
Cu1 Cu 0.4159 0.2500 0.8987
Te1 Te 0.3955 0.2500 0.6379
Se1 Se 0.0210 0.7500 0.3645
Se2 Se 0.2829 0.7500 0.9419
```

The following is a theoretical powder diffractogram of Cs3Hf2CuTe10. It was derived from a structure optimized by DFT (PBE), using Cu Kα, 1.54184 Å.

Principal peaks in the range 10 to 80 degrees two-theta, low angle first:
2θ = 10.72°, intensity 97, (1 1 0); 2θ = 11.28°, intensity 88, (0 1 -1); 2θ = 11.79°, intensity 100, (1 0 1); 2θ = 25.30°, intensity 38, (1 3 1); 2θ = 25.69°, intensity 94, (1 1 3); 2θ = 25.96°, intensity 67, (1 1 -3); 2θ = 28.04°, intensity 43, (3 0 -1); 2θ = 30.76°, intensity 55, (3 -1 1); 2θ = 32.68°, intensity 35, (0 4 0); 2θ = 41.71°, intensity 38, (2 -2 4)

Cell and atoms:
```
data_Cs3Hf2CuTe10
_chemical_formula_sum 'Cs6 Hf4 Cu2 Te20'
_cell_length_a 10.1566
_cell_length_b 11.1995
_cell_length_c 11.3959
_cell_angle_alpha 89.11
_cell_angle_beta 89.62
_cell_angle_gamma 78.22
_symmetry_space_group_name_H-M 'P -1'
_symmetry_Int_Tables_number 2
loop_
_symmetry_equiv_pos_as_xyz
'x,y,z'
'-x,-y,-z'
loop_
_atom_site_label
_atom_site_type_symbol
_atom_site_fract_x
_atom_site_fract_y
_atom_site_fract_z
Cs1 Cs 0.0548 0.2357 0.1101
Cs2 Cs 0.1995 0.3752 0.6042
Cs3 Cs 0.3845 0.8906 0.7618
Hf1 Hf 0.1918 0.8406 0.3569
Hf2 Hf 0.3923 0.6226 0.1352
Cu1 Cu 0.4204 0.3760 0.0569
Te1 Te 0.0262 0.0899 0.8047
Te2 Te 0.0908 0.7537 0.5704
Te3 Te 0.1084 0.6424 0.2090
Te4 Te 0.1689 0.0872 0.4304
Te5 Te 0.2855 0.8837 0.1082
Te6 Te 0.3066 0.4104 0.2596
Te7 Te 0.3424 0.5591 0.8975
Te8 Te 0.4211 0.6362 0.3912
Te9 Te 0.4280 0.2055 0.9061
Te10 Te 0.4569 0.8780 0.4322
```

What did the sixth record say?
The following is a theoretical powder diffractogram of Cs3Hf2CuTe10. It was derived from a structure optimized by DFT (PBE), using Cu Kα, 1.54184 Å.

Principal peaks in the range 10 to 80 degrees two-theta, low angle first:
2θ = 10.72°, intensity 97, (1 1 0); 2θ = 11.28°, intensity 88, (0 1 -1); 2θ = 11.79°, intensity 100, (1 0 1); 2θ = 25.30°, intensity 38, (1 3 1); 2θ = 25.69°, intensity 94, (1 1 3); 2θ = 25.96°, intensity 67, (1 1 -3); 2θ = 28.04°, intensity 43, (3 0 -1); 2θ = 30.76°, intensity 55, (3 -1 1); 2θ = 32.68°, intensity 35, (0 4 0); 2θ = 41.71°, intensity 38, (2 -2 4)

Cell and atoms:
```
data_Cs3Hf2CuTe10
_chemical_formula_sum 'Cs6 Hf4 Cu2 Te20'
_cell_length_a 10.1566
_cell_length_b 11.1995
_cell_length_c 11.3959
_cell_angle_alpha 89.11
_cell_angle_beta 89.62
_cell_angle_gamma 78.22
_symmetry_space_group_name_H-M 'P -1'
_symmetry_Int_Tables_number 2
loop_
_symmetry_equiv_pos_as_xyz
'x,y,z'
'-x,-y,-z'
loop_
_atom_site_label
_atom_site_type_symbol
_atom_site_fract_x
_atom_site_fract_y
_atom_site_fract_z
Cs1 Cs 0.0548 0.2357 0.1101
Cs2 Cs 0.1995 0.3752 0.6042
Cs3 Cs 0.3845 0.8906 0.7618
Hf1 Hf 0.1918 0.8406 0.3569
Hf2 Hf 0.3923 0.6226 0.1352
Cu1 Cu 0.4204 0.3760 0.0569
Te1 Te 0.0262 0.0899 0.8047
Te2 Te 0.0908 0.7537 0.5704
Te3 Te 0.1084 0.6424 0.2090
Te4 Te 0.1689 0.0872 0.4304
Te5 Te 0.2855 0.8837 0.1082
Te6 Te 0.3066 0.4104 0.2596
Te7 Te 0.3424 0.5591 0.8975
Te8 Te 0.4211 0.6362 0.3912
Te9 Te 0.4280 0.2055 0.9061
Te10 Te 0.4569 0.8780 0.4322
```